1.
Computed powder XRD pattern
Compound: Li2Fe3Si6O16
Radiation: Cu Kα X-rays
Structure: a structure optimized by DFT (PBE+U)
Peak positions follow from Bragg's law for the DFT cell and can differ from measured ones.

Most intense lines, 10° ≤ 2θ ≤ 90°, low angle first:
2θ (°)	I (rel.)
12.11	587
24.37	657
26.77	703
27.93	588
28.11	589
30.52	587
30.67	1000
31.40	536
35.89	556
52.19	655

Structural model:
Cell: 7.0203 9.7535 10.2941 Å, 80.00 70.33 82.50°
Fractional positions:
1 Li 0.1413 0.1118 0.0311
2 Li 0.1637 0.4213 0.6854
3 Li 0.8363 0.5787 0.3146
4 Li 0.8587 0.8882 0.9689
5 Fe 0.1506 0.1074 0.4095
6 Fe 0.3476 0.8765 0.6106
7 Fe 0.4205 0.8578 0.9737
8 Fe 0.5795 0.1422 0.0263
9 Fe 0.6524 0.1235 0.3894
10 Fe 0.8494 0.8926 0.5905
11 Si 0.0055 0.1390 0.7418
12 Si 0.2077 0.4011 0.1132
13 Si 0.2173 0.6797 0.4333
14 Si 0.2527 0.6171 0.8498
15 Si 0.3553 0.4000 0.3656
16 Si 0.4513 0.1330 0.7330
17 Si 0.5487 0.8670 0.2670
18 Si 0.6447 0.6000 0.6344
19 Si 0.7473 0.3829 0.1502
20 Si 0.7827 0.3203 0.5667
21 Si 0.7923 0.5989 0.8868
22 Si 0.9945 0.8610 0.2582
23 O 0.0396 0.5668 0.8488
24 O 0.0543 0.0227 0.6335
25 O 0.0712 0.7084 0.3336
26 O 0.1325 0.7674 0.5627
27 O 0.1346 0.9124 0.1026
28 O 0.2126 0.1917 0.7533
29 O 0.2410 0.5077 0.4832
30 O 0.2424 0.4431 0.2491
31 O 0.2687 0.7824 0.8415
32 O 0.2852 0.2412 0.0924
33 O 0.3050 0.5213 0.9824
34 O 0.3482 0.2383 0.4297
35 O 0.4074 0.5609 0.7050
36 O 0.4424 0.7185 0.3294
37 O 0.4511 0.9750 0.3828
38 O 0.4585 0.0662 0.8857
39 O 0.5415 0.9338 0.1143
40 O 0.5489 0.0250 0.6172
41 O 0.5576 0.2815 0.6706
42 O 0.5926 0.4391 0.2950
43 O 0.6518 0.7617 0.5703
44 O 0.6950 0.4787 0.0176
45 O 0.7148 0.7588 0.9076
46 O 0.7313 0.2176 0.1585
47 O 0.7576 0.5569 0.7509
48 O 0.7590 0.4923 0.5168
49 O 0.7874 0.8083 0.2467
50 O 0.8654 0.0876 0.8974
51 O 0.8675 0.2326 0.4373
52 O 0.9288 0.2916 0.6664
53 O 0.9457 0.9773 0.3665
54 O 0.9604 0.4332 0.1512


2.
Computed powder XRD pattern
Compound: SmDyNi4O12
Radiation: Cu Kα X-rays
Structure: a structure optimized by DFT (PBE+U)
Peak positions follow from Bragg's law for the DFT cell and can differ from measured ones.

Most intense lines, 10° ≤ 2θ ≤ 90°, low angle first:
2θ (°)	I (rel.)
20.58	1000
33.41	701
34.90	420
38.23	198
40.86	336
45.68	179
50.25	109
52.72	164
58.75	182
61.64	320

Structural model:
Cell: 5.1413 5.1413 7.9440 Å, 90.00 90.00 90.14°
Fractional positions:
1 Sm 0.0000 0.0000 0.0000
2 Dy 0.5000 0.5000 0.5000
3 Ni 0.0000 0.5000 0.2507
4 Ni 0.0000 0.5000 0.7493
5 Ni 0.5000 0.0000 0.2507
6 Ni 0.5000 0.0000 0.7493
7 O 0.0000 0.5000 0.0000
8 O 0.0000 0.5000 0.5000
9 O 0.1798 0.1798 0.2500
10 O 0.1798 0.1798 0.7500
11 O 0.3232 0.6768 0.2582
12 O 0.3232 0.6768 0.7418
13 O 0.5000 0.0000 0.0000
14 O 0.5000 0.0000 0.5000
15 O 0.6768 0.3232 0.2582
16 O 0.6768 0.3232 0.7418
17 O 0.8202 0.8202 0.2500
18 O 0.8202 0.8202 0.7500